Computed powder diffractogram
Compound: Mn2AsHO5
Radiation: Cu Kα X-rays
Structure: a DFT-relaxed cell (GGA+U, Alexandria)
Kinematic intensities with the Lorentz-polarization factor, no thermal factor.

Structure:
```
Mn2AsHO5
1.0
8.703 0.000 0.000
0.000 8.831 0.000
0.000 0.000 6.414
Mn As H O
8 4 4 20
direct
0.000 0.000 0.247 Mn
0.000 0.000 0.753 Mn
0.141 0.366 0.000 Mn
0.359 0.866 0.500 Mn
0.500 0.500 0.253 Mn
0.500 0.500 0.747 Mn
0.641 0.134 0.500 Mn
0.859 0.634 0.000 Mn
0.245 0.744 0.000 As
0.255 0.244 0.500 As
0.745 0.756 0.500 As
0.755 0.256 0.000 As
0.214 0.080 0.000 H
0.286 0.580 0.500 H
0.714 0.420 0.500 H
0.786 0.920 0.000 H
0.084 0.144 0.500 O
0.103 0.608 0.000 O
0.113 0.127 0.000 O
0.225 0.859 0.217 O
0.225 0.859 0.783 O
0.275 0.359 0.283 O
0.275 0.359 0.717 O
0.387 0.627 0.500 O
0.397 0.108 0.500 O
0.416 0.644 0.000 O
0.584 0.356 0.000 O
0.603 0.892 0.500 O
0.613 0.373 0.500 O
0.725 0.641 0.283 O
0.725 0.641 0.717 O
0.775 0.141 0.217 O
0.775 0.141 0.783 O
0.887 0.873 0.000 O
0.897 0.392 0.000 O
0.916 0.856 0.500 O
```

Largest 6 diffraction maxima, low angle first, 2θ from 5° to 70°:
h k l	two_theta	d_spacing	Rel. int.
1 1 0	14.29	6.199	57.8
1 0 1	17.14	5.175	93.8
1 1 1	19.92	4.457	77.2
2 2 0	28.80	3.099	100.0
0 2 2	34.57	2.595	56.4
1 3 1	35.09	2.557	54.8